Starting from a PBE-relaxed structure, the XRD peak list of NaCd2BiO4 was calculated for Cu Kα.

Crystal structure
a = 4.8879 Å, b = 4.8879 Å, c = 9.4657 Å
α = 90.00°, β = 90.00°, γ = 90.00°
Space group I-4m2 (No. 119)
One atom of each set of equivalent atoms:
Na 0.0000 0.0000 0.0000 x2
Cd 0.0000 0.0000 0.5000 x2
Cd 0.0000 0.5000 0.2500 x2
Bi 0.0000 0.5000 0.7500 x2
O 0.0000 0.0000 0.2561 x4
O 0.0000 0.5000 0.0006 x4

Peak list (10 most intense, 10° ≤ 2θ ≤ 80°, low angle first)
two_theta, I_rel, index
18.75, 19, 0 0 2
20.45, 32, 1 0 1
25.78, 18, 1 1 0
32.07, 100, 1 1 2
36.78, 62, 2 0 0
38.03, 28, 0 0 4
52.99, 21, 2 2 0
53.93, 39, 2 0 4
63.29, 30, 3 1 2
67.06, 20, 2 2 4

Starting from a PBE-relaxed structure, the XRD peak list of Sm2Cd3Pd was calculated for Cu Kα.

Crystal structure
a = 3.5211 Å, b = 4.8682 Å, c = 8.5369 Å
α = 90.00°, β = 90.00°, γ = 90.00°
Space group Pmm2 (No. 25)
One atom of each set of equivalent atoms:
Sm 0.0000 0.0000 0.0000 x1
Sm 0.0000 0.5000 0.4423 x1
Cd 0.5000 0.0000 0.6284 x1
Cd 0.5000 0.5000 0.1316 x1
Cd 0.5000 0.5000 0.7967 x1
Pd 0.5000 0.0000 0.2991 x1

Peak list (10 most intense, 10° ≤ 2θ ≤ 80°, low angle first)
two_theta, I_rel, index
32.98, 47, 1 0 2
33.11, 100, 1 1 1
36.58, 70, 0 1 3
36.93, 38, 0 2 0
50.34, 28, 1 2 2
51.94, 14, 2 0 0
64.12, 14, 1 3 1
65.19, 25, 2 1 3
65.42, 14, 2 2 0
66.31, 12, 0 3 3

Starting from a PBE-relaxed structure, the XRD peak list of Tl2InGa2 was calculated for Cu Kα.

Crystal structure
a = 7.3735 Å, b = 7.3735 Å, c = 4.8149 Å
α = 90.00°, β = 90.00°, γ = 90.00°
Space group P4/mbm (No. 127)
One atom of each set of equivalent atoms:
Tl 0.1740 0.3260 0.0000 x4
In 0.0000 0.0000 0.5000 x2
Ga 0.1287 0.6287 0.5000 x4

Peak list (10 most intense, 10° ≤ 2θ ≤ 80°, low angle first)
two_theta, I_rel, index
25.18, 11, 1 1 1
27.04, 17, 2 1 0
30.54, 45, 2 0 1
32.92, 100, 2 1 1
37.35, 25, 0 0 2
38.61, 29, 3 1 0
51.07, 10, 4 1 0
54.78, 39, 3 1 2
56.28, 13, 3 3 1
64.58, 14, 2 1 3

Starting from a PBE-relaxed structure, the XRD peak list of LiTiNO was calculated for Cu Kα.

Crystal structure
a = 3.4252 Å, b = 3.4252 Å, c = 4.0395 Å
α = 90.00°, β = 90.00°, γ = 120.00°
Space group P-6m2 (No. 187)
One atom of each set of equivalent atoms:
Li 0.0000 0.0000 0.0000 x1
Ti 0.6667 0.3333 0.5000 x1
N 0.0000 0.0000 0.5000 x1
O 0.6667 0.3333 0.0000 x1

Peak list (10 most intense, 10° ≤ 2θ ≤ 80°, low angle first)
two_theta, I_rel, index
22.00, 36, 0 0 1
30.13, 100, 1 0 0
37.62, 25, 1 0 1
44.88, 20, 0 0 2
53.51, 33, 1 1 0
55.00, 29, 1 0 2
58.54, 12, 1 1 1
62.64, 9, 2 0 0
67.24, 5, 2 0 1
72.34, 23, 1 1 2

Starting from a PBE-relaxed structure, the XRD peak list of AcCo2Sn4 was calculated for Cu Kα.

Crystal structure
a = 18.8024 Å, b = 4.4887 Å, c = 7.2232 Å
α = 90.00°, β = 90.00°, γ = 90.00°
Space group Pnma (No. 62)
One atom of each set of equivalent atoms:
Ac 0.1400 0.2500 0.0046 x4
Co 0.0351 0.7500 0.7451 x4
Co 0.2125 0.2500 0.4858 x4
Sn 0.0264 0.7500 0.1482 x4
Sn 0.0699 0.2500 0.5058 x4
Sn 0.1796 0.7500 0.6888 x4
Sn 0.2010 0.7500 0.2850 x4

Peak list (10 most intense, 10° ≤ 2θ ≤ 80°, low angle first)
two_theta, I_rel, index
31.23, 18, 4 0 2
33.23, 100, 2 1 2
33.47, 64, 5 1 1
34.92, 29, 6 1 0
35.66, 33, 7 0 1
40.11, 27, 3 0 3
40.18, 40, 0 2 0
54.79, 20, 7 2 1
58.08, 17, 3 2 3
62.38, 23, 9 1 3

Starting from a PBE-relaxed structure, the XRD peak list of Dy8HgC4 was calculated for Cu Kα.

Crystal structure
a = 17.5888 Å, b = 3.6391 Å, c = 12.2368 Å
α = 90.00°, β = 133.38°, γ = 90.00°
Space group C2/m (No. 12)
One atom of each set of equivalent atoms:
Dy 0.0436 0.0000 0.2189 x4
Dy 0.1445 0.5000 0.1009 x4
Dy 0.1561 0.5000 0.8359 x4
Dy 0.1919 0.5000 0.5494 x4
Hg 0.0000 0.0000 0.5000 x2
C 0.1529 0.0000 0.9717 x4
C 0.1741 0.5000 0.3323 x4

Peak list (10 most intense, 10° ≤ 2θ ≤ 80°, low angle first)
two_theta, I_rel, index
29.13, 16, 1 1 1
30.14, 25, 0 0 3
30.52, 46, 6 0 -3
32.34, 100, 3 1 0
32.99, 77, 3 1 -3
35.79, 19, 4 0 1
50.13, 16, 0 2 0
52.76, 22, 1 1 4
59.84, 14, 6 2 -3
64.00, 13, 7 1 1

Starting from a PBE-relaxed structure, the XRD peak list of NaPuAgI6 was calculated for Cu Kα.

Crystal structure
a = 7.6429 Å, b = 7.6429 Å, c = 7.2584 Å
α = 90.00°, β = 90.00°, γ = 120.00°
Space group P312 (No. 149)
One atom of each set of equivalent atoms:
Na 0.0000 0.0000 0.0000 x1
Pu 0.6667 0.3333 0.5000 x1
Ag 0.3333 0.6667 0.5000 x1
I 0.3520 0.0042 0.2583 x6

Peak list (10 most intense, 10° ≤ 2θ ≤ 80°, low angle first)
two_theta, I_rel, index
12.19, 25, 0 0 1
13.38, 23, 1 0 0
18.14, 24, 1 0 1
26.36, 100, 1 1 1
34.07, 56, 1 1 2
40.90, 37, 3 0 0
44.31, 26, 2 -1 3
49.32, 17, 4 -2 1
54.26, 14, 4 -2 2
66.75, 20, 3 0 4

Starting from a PBE-relaxed structure, the XRD peak list of Tl4CuTe3 was calculated for Cu Kα.

Crystal structure
a = 8.4263 Å, b = 9.9536 Å, c = 12.2990 Å
α = 90.00°, β = 90.00°, γ = 90.00°
Space group Ibam (No. 72)
One atom of each set of equivalent atoms:
Tl 0.1566 0.1431 0.1594 x16
Cu 0.0000 0.5000 0.0000 x4
Te 0.0000 0.5000 0.2500 x4
Te 0.2313 0.1150 0.5000 x8

Peak list (10 most intense, 10° ≤ 2θ ≤ 80°, low angle first)
two_theta, I_rel, index
24.05, 17, 2 1 1
28.92, 26, 1 3 0
30.17, 100, 1 2 3
31.75, 41, 2 1 3
32.27, 13, 1 1 4
33.14, 28, 3 1 0
42.17, 21, 2 4 0
49.48, 15, 2 0 6
58.31, 17, 0 4 6
62.72, 13, 3 3 6

Starting from a PBE-relaxed structure, the XRD peak list of K2AcHg10 was calculated for Cu Kα.

Crystal structure
a = 9.4534 Å, b = 6.3786 Å, c = 12.6806 Å
α = 90.00°, β = 90.02°, γ = 90.00°
Space group P2_1/c (No. 14)
One atom of each set of equivalent atoms:
K 0.9996 0.1368 0.1425 x4
Ac 0.5000 0.0000 0.5000 x2
Hg 0.1592 0.6400 0.0966 x4
Hg 0.1596 0.1399 0.4040 x4
Hg 0.3380 0.9999 0.0006 x4
Hg 0.3423 0.1990 0.7237 x4
Hg 0.3431 0.6989 0.7764 x4

Peak list (10 most intense, 10° ≤ 2θ ≤ 80°, low angle first)
two_theta, I_rel, index
29.72, 82, 1 0 4
31.40, 72, 0 2 2
31.51, 42, 0 1 4
31.69, 68, 3 0 2
32.47, 100, 3 1 -1
32.83, 57, 1 2 2
34.76, 61, 3 1 2
35.25, 57, 0 2 3
40.36, 47, 3 0 -4
64.37, 45, 3 3 5

Starting from a PBE-relaxed structure, the XRD peak list of Ac3Zn2Pd9 was calculated for Cu Kα.

Crystal structure
a = 6.5057 Å, b = 6.5057 Å, c = 15.5303 Å
α = 90.00°, β = 90.00°, γ = 120.00°
Space group P6_3/mmc (No. 194)
One atom of each set of equivalent atoms:
Ac 0.0000 0.0000 0.2500 x2
Ac 0.3333 0.6667 0.0744 x4
Zn 0.3333 0.6667 0.6613 x4
Pd 0.0455 0.5227 0.2500 x6
Pd 0.1447 0.2894 0.5754 x12

Peak list (10 most intense, 10° ≤ 2θ ≤ 80°, low angle first)
two_theta, I_rel, index
27.42, 38, 1 1 0
32.93, 22, 1 0 5
33.85, 98, 2 0 2
34.66, 51, 0 0 6
36.31, 100, 2 0 3
39.52, 54, 2 0 4
43.36, 45, 2 0 5
56.59, 44, 2 2 0
57.67, 31, 2 0 8
68.08, 32, 2 2 6

Starting from a PBE-relaxed structure, the XRD peak list of Rb2Tl5In5 was calculated for Cu Kα.

Crystal structure
a = 5.5195 Å, b = 6.4420 Å, c = 11.4334 Å
α = 90.00°, β = 90.00°, γ = 90.00°
Space group Pmmm (No. 47)
One atom of each set of equivalent atoms:
Rb 0.0000 0.0000 0.0000 x1
Rb 0.0000 0.5000 0.5000 x1
Tl 0.0000 0.0000 0.3279 x2
Tl 0.0000 0.5000 0.1671 x2
Tl 0.5000 0.0000 0.5000 x1
In 0.5000 0.2478 0.2407 x4
In 0.5000 0.5000 0.0000 x1

Peak list (10 most intense, 10° ≤ 2θ ≤ 80°, low angle first)
two_theta, I_rel, index
15.79, 44, 0 1 1
27.19, 19, 0 1 3
31.73, 100, 1 1 3
32.18, 37, 1 2 0
32.44, 44, 2 0 0
35.36, 20, 1 0 4
35.90, 46, 1 2 2
51.58, 26, 1 3 3
57.43, 19, 3 1 3
66.30, 21, 2 2 6

Starting from a PBE-relaxed structure, the XRD peak list of Al3Ag4 was calculated for Cu Kα.

Crystal structure
a = 2.9804 Å, b = 6.2971 Å, c = 7.0687 Å
α = 112.13°, β = 92.17°, γ = 101.48°
Space group P1 (No. 1)
One atom of each set of equivalent atoms:
Al 0.0000 0.0000 0.0000 x1
Al 0.1137 0.2763 0.4331 x1
Al 0.7103 0.4267 0.1404 x1
Ag 0.2904 0.5769 0.8642 x1
Ag 0.3861 0.8614 0.2877 x1
Ag 0.5567 0.1332 0.7241 x1
Ag 0.8202 0.6837 0.5587 x1

Peak list (10 most intense, 10° ≤ 2θ ≤ 80°, low angle first)
two_theta, I_rel, index
13.63, 47, 0 0 1
15.61, 41, 0 1 0
16.21, 30, 0 1 -1
36.76, 100, 1 1 -1
38.23, 90, 0 1 -3
38.35, 88, 1 -2 1
39.31, 80, 0 2 1
43.69, 60, -1 1 2
44.40, 58, 1 0 2
45.00, 54, 0 3 -2

Starting from a PBE-relaxed structure, the XRD peak list of AlGa3N4 was calculated for Cu Kα.

Crystal structure
a = 4.5081 Å, b = 4.5081 Å, c = 4.5081 Å
α = 90.00°, β = 90.00°, γ = 90.00°
Space group P-43m (No. 215)
One atom of each set of equivalent atoms:
Al 0.0000 0.0000 0.0000 x1
Ga 0.0000 0.5000 0.5000 x3
N 0.2443 0.2443 0.2443 x4

Peak list (10 most intense, 10° ≤ 2θ ≤ 80°, low angle first)
two_theta, I_rel, index
19.69, 9, 1 0 0
27.99, 9, 1 1 0
34.46, 100, 1 1 1
40.00, 30, 2 0 0
44.96, 5, 2 1 0
49.53, 4, 2 1 1
57.85, 43, 2 2 0
61.73, 2, 3 0 0
69.11, 36, 3 1 1
72.65, 7, 2 2 2